1.
This entry pairs a crystal structure of Ce3Pt2Au3 with its computed powder diffraction line list. Radiation: Cu Ka. Structure: a PBE-relaxed structure.

Crystal structure
```
data_Ce3Pt2Au3
_cell_length_a 7.514
_cell_length_b 17.516
_cell_length_c 5.556
_cell_angle_alpha 90.00
_cell_angle_beta 90.00
_cell_angle_gamma 90.00
_space_group_name_H-M_alt 'P n m a'
_space_group_IT_number 62
loop_
_space_group_symop_operation_xyz
'x,y,z'
'-x,-y,-z'
'-x+1/2,-y,z+1/2'
'x+1/2,y,-z+1/2'
'x+1/2,-y+1/2,-z+1/2'
'-x+1/2,y+1/2,z+1/2'
'-x,y+1/2,-z'
'x,-y+1/2,z'
loop_
_atom_site_label
_atom_site_fract_x
_atom_site_fract_y
_atom_site_fract_z
_atom_site_occupancy
Ce1 0.034 0.106 0.124 1
Ce2 0.153 0.250 0.665 1
Pt1 0.117 0.627 0.370 1
Au1 0.185 0.026 0.586 1
Au2 0.185 0.750 0.690 1
```

Largest 10 diffraction maxima, low angle first, 10° ≤ 2θ ≤ 80°:
index  2theta  d [Å]  I (rel.)
2 4 0  31.37  2.851  59
1 5 1  32.48  2.757  32
1 1 2  34.81  2.577  34
2 5 0  35.02  2.562  22
2 4 1  35.38  2.537  100
1 3 2  37.81  2.379  40
3 0 1  39.47  2.283  49
1 4 2  40.28  2.239  64
0 8 0  41.23  2.190  31
1 7 1  41.36  2.183  26



2.
This entry pairs a crystal structure of Ce2Cd2Sn3Hg4 with its computed powder diffraction line list. Radiation: Cu Ka. Structure: a PBE-relaxed structure.

Crystal structure
```
data_Ce2Cd2Sn3Hg4
_cell_length_a 5.0391
_cell_length_b 5.0391
_cell_length_c 13.3381
_cell_angle_alpha 90.00
_cell_angle_beta 90.00
_cell_angle_gamma 120.00
_space_group_name_H-M_alt 'P -3 m 1'
_space_group_IT_number 164
_space_group_name_Hall '-P 3 2"'
loop_
_atom_site_label
_atom_site_fract_x
_atom_site_fract_y
_atom_site_fract_z
_atom_site_occupancy
Ce1 0.3333 0.6667 0.1743 1
Cd1 0.3333 0.6667 0.6646 1
Sn1 0.0000 0.0000 0.0000 1
Sn2 0.0000 0.0000 0.2813 1
Hg1 0.3333 0.6667 0.4429 1
Hg2 0.3333 0.6667 0.9182 1
```

Largest 10 diffraction maxima, low angle first, 10° ≤ 2θ ≤ 80°:
index  2theta  d [Å]  I (rel.)
1 0 0  20.35  4.364  11
0 1 2  24.38  3.652  12
1 0 3  28.66  3.114  17
1 0 4  33.83  2.650  100
1 1 0  35.63  2.520  93
0 2 4  49.95  1.826  34
0 1 8  59.34  1.557  11
2 1 4  62.86  1.478  34
3 0 0  64.01  1.455  17
2 2 0  75.46  1.260  11



3.
This entry pairs a crystal structure of Ho2Ga3Cu4 with its computed powder diffraction line list. Radiation: Cu Ka. Structure: a PBE-relaxed structure.

Crystal structure
```
data_Ho2Ga3Cu4
_cell_length_a 5.481
_cell_length_b 15.111
_cell_length_c 7.343
_cell_angle_alpha 90.00
_cell_angle_beta 90.00
_cell_angle_gamma 90.00
_space_group_name_H-M_alt 'C m c e'
_space_group_IT_number 64
_space_group_name_Hall '-C 2ac 2'
loop_
_atom_site_label
_atom_site_fract_x
_atom_site_fract_y
_atom_site_fract_z
_atom_site_occupancy
Ho1 0.000 0.104 0.097 1
Ga1 0.000 0.000 0.500 1
Ga2 0.250 0.235 0.750 1
Cu1 0.000 0.172 0.489 1
Cu2 0.250 0.068 0.750 1
```

Largest 10 diffraction maxima, low angle first, 10° ≤ 2θ ≤ 80°:
index  2theta  d [Å]  I (rel.)
1 1 2  29.88  2.990  26
1 3 2  34.37  2.609  51
1 5 1  36.08  2.490  100
2 2 1  36.98  2.431  53
0 2 3  38.67  2.328  48
2 4 0  40.67  2.218  28
2 0 2  41.10  2.196  70
0 6 2  43.58  2.077  22
3 5 1  60.55  1.529  22
2 6 4  72.46  1.304  33



4.
This entry pairs a crystal structure of KHoZn2F8 with its computed powder diffraction line list. Radiation: Cu Ka. Structure: a PBE-relaxed structure.

Crystal structure
```
data_KHoZn2F8
_cell_length_a 5.2644
_cell_length_b 5.2644
_cell_length_c 24.9840
_cell_angle_alpha 90.00
_cell_angle_beta 90.00
_cell_angle_gamma 120.00
_space_group_name_H-M_alt 'R 3 2'
_space_group_IT_number 155
_space_group_name_Hall 'R 3 2"'
loop_
_atom_site_label
_atom_site_fract_x
_atom_site_fract_y
_atom_site_fract_z
_atom_site_occupancy
K1 0.0000 0.0000 0.0000 1
Ho1 0.0000 0.0000 0.5000 1
Zn1 0.0000 0.0000 0.2561 1
F1 0.0000 0.0000 0.3304 1
F2 0.0072 0.3254 0.4447 1
```

Largest 10 diffraction maxima, low angle first, 10° ≤ 2θ ≤ 80°:
index  2theta  d [Å]  I (rel.)
0 0 3  10.62  8.328  29
1 0 1  19.79  4.485  33
1 0 4  24.17  3.682  100
0 1 5  26.46  3.368  20
1 1 0  34.06  2.632  44
0 1 8  34.82  2.576  34
0 2 4  42.20  2.141  21
2 1 4  55.30  1.661  20
1 1 12  56.34  1.633  27
3 0 0  60.97  1.520  15



5.
This entry pairs a crystal structure of La2Th2CoPt2 with its computed powder diffraction line list. Radiation: Cu Ka. Structure: a PBE-relaxed structure.

Crystal structure
```
data_La2Th2CoPt2
_cell_length_a 4.141
_cell_length_b 7.330
_cell_length_c 7.396
_cell_angle_alpha 116.25
_cell_angle_beta 106.20
_cell_angle_gamma 90.02
_space_group_name_H-M_alt 'P -1'
_space_group_IT_number 2
loop_
_space_group_symop_operation_xyz
'x,y,z'
'-x,-y,-z'
loop_
_atom_site_label
_atom_site_fract_x
_atom_site_fract_y
_atom_site_fract_z
_atom_site_occupancy
La1 0.022 0.258 0.046 1
Th1 0.292 0.251 0.583 1
Co1 0.500 0.500 0.000 1
Pt1 0.364 0.929 0.728 1
```

Largest 10 diffraction maxima, low angle first, 10° ≤ 2θ ≤ 80°:
index  2theta  d [Å]  I (rel.)
0 1 0  13.61  6.506  34
-1 1 1  28.14  3.171  49
0 2 -2  28.97  3.082  44
1 0 1  30.30  2.950  100
1 2 -1  33.11  2.705  43
1 2 -2  33.78  2.653  40
0 1 2  36.97  2.431  35
1 1 1  37.32  2.410  34
1 1 -3  38.51  2.338  37
2 0 -1  43.72  2.070  37



6.
This entry pairs a crystal structure of MgTaI2 with its computed powder diffraction line list. Radiation: Cu Ka. Structure: a PBE-relaxed structure.

Crystal structure
```
data_MgTaI2
_cell_length_a 9.893
_cell_length_b 9.893
_cell_length_c 5.775
_cell_angle_alpha 90.00
_cell_angle_beta 90.00
_cell_angle_gamma 90.00
_space_group_name_H-M_alt 'I -4 2 d'
_space_group_IT_number 122
_space_group_name_Hall 'I -4 2bw'
loop_
_atom_site_label
_atom_site_fract_x
_atom_site_fract_y
_atom_site_fract_z
_atom_site_occupancy
Mg1 0.000 0.000 0.000 1
Ta1 0.000 0.000 0.500 1
I1 0.105 0.250 0.625 1
```

Largest 10 diffraction maxima, low angle first, 10° ≤ 2θ ≤ 80°:
index  2theta  d [Å]  I (rel.)
1 0 1  17.78  4.988  100
2 1 1  25.36  3.512  30
3 1 0  28.53  3.129  28
1 1 2  33.58  2.669  32
4 0 0  36.26  2.477  41
4 2 0  40.76  2.214  61
3 1 2  42.61  2.122  22
3 3 2  50.29  1.814  15
2 1 3  51.79  1.765  16
5 2 1  52.25  1.751  19



7.
This entry pairs a crystal structure of Y2Zr2O7 with its computed powder diffraction line list. Radiation: Cu Ka. Structure: a PBE-relaxed structure.

Crystal structure
```
data_Y2Zr2O7
_cell_length_a 7.888
_cell_length_b 5.544
_cell_length_c 13.855
_cell_angle_alpha 90.00
_cell_angle_beta 98.47
_cell_angle_gamma 90.00
_space_group_name_H-M_alt 'P 1 21 1'
_space_group_IT_number 4
loop_
_space_group_symop_operation_xyz
'x,y,z'
'-x,y+1/2,-z'
loop_
_atom_site_label
_atom_site_fract_x
_atom_site_fract_y
_atom_site_fract_z
_atom_site_occupancy
Y1 0.134 0.000 0.059 1
Y2 0.239 0.456 0.429 1
Y3 0.287 0.920 0.634 1
Y4 0.363 0.436 0.899 1
Zr1 0.026 0.440 0.619 1
Zr2 0.075 0.942 0.820 1
Zr3 0.410 0.452 0.173 1
Zr4 0.467 0.942 0.373 1
O1 0.007 0.600 0.325 1
O2 0.075 0.728 0.522 1
O3 0.078 0.226 0.918 1
O4 0.137 0.646 0.729 1
O5 0.156 0.719 0.934 1
O6 0.169 0.311 0.172 1
O7 0.223 0.062 0.384 1
O8 0.272 0.312 0.586 1
O9 0.324 0.081 0.798 1
O10 0.364 0.788 0.123 1
O11 0.415 0.592 0.327 1
O12 0.426 0.255 0.048 1
O13 0.440 0.722 0.525 1
O14 0.475 0.651 0.735 1
```

Largest 10 diffraction maxima, low angle first, 10° ≤ 2θ ≤ 80°:
index  2theta  d [Å]  I (rel.)
0 1 3  25.26  3.525  23
0 0 4  26.01  3.426  38
2 1 0  27.95  3.192  31
2 1 1  29.46  3.032  100
0 1 4  30.68  2.914  40
2 1 -3  32.22  2.778  48
0 2 0  32.32  2.770  81
0 2 4  41.92  2.155  24
4 0 -1  46.02  1.972  37
4 2 -1  57.35  1.607  26



8.
This entry pairs a crystal structure of Na4Ho with its computed powder diffraction line list. Radiation: Cu Ka. Structure: a PBE-relaxed structure.

Crystal structure
```
data_Na4Ho
_cell_length_a 6.575
_cell_length_b 6.575
_cell_length_c 6.575
_cell_angle_alpha 90.00
_cell_angle_beta 90.00
_cell_angle_gamma 90.00
_space_group_name_H-M_alt 'P m -3 m'
_space_group_IT_number 221
_space_group_name_Hall '-P 4 2 3'
loop_
_atom_site_label
_atom_site_fract_x
_atom_site_fract_y
_atom_site_fract_z
_atom_site_occupancy
Na1 0.000 0.000 0.000 1
Na2 0.000 0.500 0.500 1
Ho1 0.500 0.500 0.500 1
```

Largest 10 diffraction maxima, low angle first, 10° ≤ 2θ ≤ 80°:
index  2theta  d [Å]  I (rel.)
1 0 0  13.47  6.575  100
1 1 0  19.09  4.649  91
2 0 0  27.12  3.288  51
2 1 0  30.40  2.940  59
2 1 1  33.38  2.684  46
2 2 0  38.74  2.325  39
3 0 0  41.19  2.192  32
3 1 0  43.53  2.079  22
3 2 1  52.04  1.757  26
4 1 0  57.82  1.595  19



Repeat the sixth record exactly.
This entry pairs a crystal structure of MgTaI2 with its computed powder diffraction line list. Radiation: Cu Ka. Structure: a PBE-relaxed structure.

Crystal structure
```
data_MgTaI2
_cell_length_a 9.893
_cell_length_b 9.893
_cell_length_c 5.775
_cell_angle_alpha 90.00
_cell_angle_beta 90.00
_cell_angle_gamma 90.00
_space_group_name_H-M_alt 'I -4 2 d'
_space_group_IT_number 122
_space_group_name_Hall 'I -4 2bw'
loop_
_atom_site_label
_atom_site_fract_x
_atom_site_fract_y
_atom_site_fract_z
_atom_site_occupancy
Mg1 0.000 0.000 0.000 1
Ta1 0.000 0.000 0.500 1
I1 0.105 0.250 0.625 1
```

Largest 10 diffraction maxima, low angle first, 10° ≤ 2θ ≤ 80°:
index  2theta  d [Å]  I (rel.)
1 0 1  17.78  4.988  100
2 1 1  25.36  3.512  30
3 1 0  28.53  3.129  28
1 1 2  33.58  2.669  32
4 0 0  36.26  2.477  41
4 2 0  40.76  2.214  61
3 1 2  42.61  2.122  22
3 3 2  50.29  1.814  15
2 1 3  51.79  1.765  16
5 2 1  52.25  1.751  19